Starting from a GGA-PBE-relaxed structure, the powder diffraction line list of ZrV2S6 was computed for Cu Kα (weighted mean of Kα1 and Kα2).
No peak broadening, texture or thermal motion is included.

Cell and atoms:
```
data_ZrV2S6
_chemical_formula_sum 'Zr1 V2 S6'
_cell_length_a 6.2169
_cell_length_b 6.2169
_cell_length_c 8.5562
_cell_angle_alpha 117.16
_cell_angle_beta 117.16
_cell_angle_gamma 39.87
_symmetry_space_group_name_H-M 'P 1'
_symmetry_Int_Tables_number 1
_symmetry_space_group_name_Hall 'P 1'
loop_
_atom_site_label
_atom_site_type_symbol
_atom_site_fract_x
_atom_site_fract_y
_atom_site_fract_z
_atom_site_occupancy
Zr1 Zr 0.0000 0.0000 0.0000 1
V1 V 0.1437 0.1437 0.5737 1
V2 V 0.8563 0.8563 0.4263 1
S1 S 0.0309 0.0309 0.7178 1
S2 S 0.2996 0.2996 0.4543 1
S3 S 0.3497 0.3497 0.8731 1
S4 S 0.6503 0.6503 0.1269 1
S5 S 0.7004 0.7004 0.5457 1
S6 S 0.9691 0.9691 0.2822 1
```

Most intense lines, 5° ≤ 2θ ≤ 70°, sorted by position:
| d (Å) | 2θ (°) | intensity |
| --- | --- | --- |
| 5.701 | 15.5 | 53.2 |
| 4.118 | 21.6 | 48.7 |
| 3.915 | 22.7 | 100.0 |
| 3.740 | 23.8 | 36.5 |
| 3.501 | 25.4 | 43.3 |
| 2.655 | 33.8 | 40.3 |
| 2.487 | 36.1 | 44.8 |
| 2.248 | 40.1 | 45.3 |
| 2.120 | 42.7 | 78.3 |
| 1.941 | 46.8 | 60.2 |


Starting from a GGA-PBE-relaxed structure, the powder diffraction line list of Ce3PmIr3 was computed for Cu Kα (weighted mean of Kα1 and Kα2).
No peak broadening, texture or thermal motion is included.

Cell and atoms:
```
data_Ce3PmIr3
_chemical_formula_sum 'Ce6 Pm2 Ir6'
_cell_length_a 6.9504
_cell_length_b 6.9504
_cell_length_c 7.0997
_cell_angle_alpha 90.59
_cell_angle_beta 90.59
_cell_angle_gamma 99.07
_symmetry_space_group_name_H-M 'P 1'
_symmetry_Int_Tables_number 1
_symmetry_space_group_name_Hall 'P 1'
loop_
_atom_site_label
_atom_site_type_symbol
_atom_site_fract_x
_atom_site_fract_y
_atom_site_fract_z
_atom_site_occupancy
Ce1 Ce 0.1851 0.8149 0.0000 1
Ce2 Ce 0.2437 0.7563 0.5000 1
Ce3 Ce 0.3510 0.3510 0.8881 1
Ce4 Ce 0.6490 0.6490 0.1119 1
Ce5 Ce 0.7563 0.2437 0.5000 1
Ce6 Ce 0.8149 0.1851 0.0000 1
Pm1 Pm 0.2559 0.2559 0.3787 1
Pm2 Pm 0.7441 0.7441 0.6212 1
Ir1 Ir 0.0313 0.4828 0.7358 1
Ir2 Ir 0.0634 0.0634 0.7114 1
Ir3 Ir 0.4828 0.0313 0.7358 1
Ir4 Ir 0.5172 0.9687 0.2642 1
Ir5 Ir 0.9366 0.9366 0.2886 1
Ir6 Ir 0.9687 0.5172 0.2642 1
```

Most intense lines, 5° ≤ 2θ ≤ 70°, sorted by position:
| d (Å) | 2θ (°) | intensity |
| --- | --- | --- |
| 6.863 | 12.9 | 29.1 |
| 3.168 | 28.2 | 23.4 |
| 2.974 | 30.1 | 22.6 |
| 2.811 | 31.8 | 43.5 |
| 2.644 | 33.9 | 59.7 |
| 2.481 | 36.2 | 36.6 |
| 2.452 | 36.6 | 100.0 |
| 2.417 | 37.2 | 36.8 |
| 2.256 | 40.0 | 24.1 |
| 2.074 | 43.6 | 22.6 |


Starting from a GGA-PBE-relaxed structure, the powder diffraction line list of SrLiAlSn2 was computed for Cu Kα (weighted mean of Kα1 and Kα2).
No peak broadening, texture or thermal motion is included.

Cell and atoms:
```
data_SrLiAlSn2
_chemical_formula_sum 'Sr1 Li1 Al1 Sn2'
_cell_length_a 6.8525
_cell_length_b 6.8525
_cell_length_c 6.8525
_cell_angle_alpha 140.47
_cell_angle_beta 140.47
_cell_angle_gamma 57.14
_symmetry_space_group_name_H-M 'P 1'
_symmetry_Int_Tables_number 1
_symmetry_space_group_name_Hall 'P 1'
loop_
_atom_site_label
_atom_site_type_symbol
_atom_site_fract_x
_atom_site_fract_y
_atom_site_fract_z
_atom_site_occupancy
Sr1 Sr 0.0000 0.0000 0.0000 1
Li1 Li 0.2500 0.7500 0.5000 1
Al1 Al 0.7500 0.2500 0.5000 1
Sn1 Sn 0.3795 0.3795 0.0000 1
Sn2 Sn 0.6205 0.6205 0.0000 1
```

Most intense lines, 5° ≤ 2θ ≤ 70°, sorted by position:
| d (Å) | 2θ (°) | intensity |
| --- | --- | --- |
| 4.325 | 20.5 | 32.1 |
| 3.277 | 27.2 | 89.6 |
| 3.033 | 29.4 | 100.0 |
| 2.878 | 31.1 | 26.1 |
| 2.317 | 38.9 | 52.2 |
| 2.216 | 40.7 | 24.1 |
| 2.136 | 42.3 | 50.1 |
| 1.841 | 49.5 | 48.0 |
| 1.639 | 56.1 | 18.1 |
| 1.571 | 58.8 | 38.5 |


Starting from a GGA-PBE-relaxed structure, the powder diffraction line list of LaHoTm2Tl4 was computed for Cu Kα (weighted mean of Kα1 and Kα2).
No peak broadening, texture or thermal motion is included.

Cell and atoms:
```
data_LaHoTm2Tl4
_chemical_formula_sum 'La1 Ho1 Tm2 Tl4'
_cell_length_a 9.4146
_cell_length_b 9.4146
_cell_length_c 9.4146
_cell_angle_alpha 33.32
_cell_angle_beta 33.32
_cell_angle_gamma 33.32
_symmetry_space_group_name_H-M 'P 1'
_symmetry_Int_Tables_number 1
_symmetry_space_group_name_Hall 'P 1'
loop_
_atom_site_label
_atom_site_type_symbol
_atom_site_fract_x
_atom_site_fract_y
_atom_site_fract_z
_atom_site_occupancy
La1 La 0.0000 0.0000 0.0000 1
Ho1 Ho 0.5000 0.5000 0.5000 1
Tm1 Tm 0.2491 0.2491 0.2491 1
Tm2 Tm 0.7509 0.7509 0.7509 1
Tl1 Tl 0.1275 0.1275 0.1275 1
Tl2 Tl 0.3780 0.3780 0.3780 1
Tl3 Tl 0.6220 0.6220 0.6220 1
Tl4 Tl 0.8725 0.8725 0.8725 1
```

Most intense lines, 5° ≤ 2θ ≤ 70°, sorted by position:
| d (Å) | 2θ (°) | intensity |
| --- | --- | --- |
| 8.884 | 10.0 | 0.9 |
| 3.827 | 23.2 | 2.9 |
| 2.713 | 33.0 | 100.0 |
| 2.699 | 33.2 | 99.7 |
| 1.913 | 47.5 | 36.6 |
| 1.569 | 58.9 | 18.8 |
| 1.561 | 59.2 | 38.3 |
| 1.558 | 59.3 | 19.3 |
| 1.356 | 69.3 | 11.6 |
| 1.349 | 69.7 | 11.9 |


Starting from a GGA-PBE-relaxed structure, the powder diffraction line list of Cd2InAg3 was computed for Cu Kα (weighted mean of Kα1 and Kα2).
No peak broadening, texture or thermal motion is included.

Cell and atoms:
```
data_Cd2InAg3
_chemical_formula_sum 'Cd4 In2 Ag6'
_cell_length_a 7.3977
_cell_length_b 7.3977
_cell_length_c 7.2220
_cell_angle_alpha 90.00
_cell_angle_beta 90.00
_cell_angle_gamma 143.22
_symmetry_space_group_name_H-M 'P 1'
_symmetry_Int_Tables_number 1
_symmetry_space_group_name_Hall 'P 1'
loop_
_atom_site_label
_atom_site_type_symbol
_atom_site_fract_x
_atom_site_fract_y
_atom_site_fract_z
_atom_site_occupancy
Cd1 Cd 0.0000 0.0000 0.0000 1
Cd2 Cd 0.0000 0.0000 0.5000 1
Cd3 Cd 0.3327 0.6673 0.0000 1
Cd4 Cd 0.6673 0.3327 0.0000 1
In1 In 0.3359 0.6641 0.5000 1
In2 In 0.6641 0.3359 0.5000 1
Ag1 Ag 0.1665 0.8335 0.2469 1
Ag2 Ag 0.1665 0.8335 0.7531 1
Ag3 Ag 0.5000 0.5000 0.2435 1
Ag4 Ag 0.5000 0.5000 0.7565 1
Ag5 Ag 0.8335 0.1665 0.2469 1
Ag6 Ag 0.8335 0.1665 0.7531 1
```

Most intense lines, 5° ≤ 2θ ≤ 70°, sorted by position:
| d (Å) | 2θ (°) | intensity |
| --- | --- | --- |
| 2.438 | 36.9 | 100.0 |
| 2.340 | 38.5 | 22.2 |
| 2.334 | 38.6 | 22.0 |
| 1.805 | 50.6 | 9.7 |
| 1.652 | 55.6 | 14.5 |
| 1.429 | 65.3 | 17.3 |
| 1.369 | 68.5 | 15.0 |
| 1.367 | 68.7 | 14.9 |


Starting from a GGA-PBE-relaxed structure, the powder diffraction line list of Hf3BeZn3 was computed for Cu Kα (weighted mean of Kα1 and Kα2).
No peak broadening, texture or thermal motion is included.

Cell and atoms:
```
data_Hf3BeZn3
_chemical_formula_sum 'Hf3 Be1 Zn3'
_cell_length_a 9.3294
_cell_length_b 9.3294
_cell_length_c 9.3294
_cell_angle_alpha 159.96
_cell_angle_beta 154.61
_cell_angle_gamma 32.55
_symmetry_space_group_name_H-M 'P 1'
_symmetry_Int_Tables_number 1
_symmetry_space_group_name_Hall 'P 1'
loop_
_atom_site_label
_atom_site_type_symbol
_atom_site_fract_x
_atom_site_fract_y
_atom_site_fract_z
_atom_site_occupancy
Hf1 Hf 0.0000 0.0000 0.0000 1
Hf2 Hf 0.3987 0.3987 0.0000 1
Hf3 Hf 0.7081 0.2081 0.5000 1
Be1 Be 0.2695 0.7695 0.5000 1
Zn1 Zn 0.1406 0.6406 0.5000 1
Zn2 Zn 0.5622 0.5622 0.0000 1
Zn3 Zn 0.8384 0.8384 0.0000 1
```

Most intense lines, 5° ≤ 2θ ≤ 70°, sorted by position:
| d (Å) | 2θ (°) | intensity |
| --- | --- | --- |
| 3.380 | 26.4 | 40.1 |
| 2.985 | 29.9 | 13.5 |
| 2.698 | 33.2 | 12.9 |
| 2.448 | 36.7 | 100.0 |
| 2.406 | 37.4 | 60.4 |
| 2.213 | 40.8 | 11.4 |
| 2.171 | 41.6 | 52.5 |
| 2.050 | 44.2 | 28.7 |
| 1.623 | 56.7 | 13.6 |
| 1.560 | 59.2 | 31.8 |


Starting from a GGA-PBE-relaxed structure, the powder diffraction line list of Mg6MnCd was computed for Cu Kα (weighted mean of Kα1 and Kα2).
No peak broadening, texture or thermal motion is included.

Cell and atoms:
```
data_Mg6MnCd
_chemical_formula_sum 'Mg6 Mn1 Cd1'
_cell_length_a 5.0063
_cell_length_b 6.2211
_cell_length_c 6.2211
_cell_angle_alpha 59.94
_cell_angle_beta 90.00
_cell_angle_gamma 90.00
_symmetry_space_group_name_H-M 'P 1'
_symmetry_Int_Tables_number 1
_symmetry_space_group_name_Hall 'P 1'
loop_
_atom_site_label
_atom_site_type_symbol
_atom_site_fract_x
_atom_site_fract_y
_atom_site_fract_z
_atom_site_occupancy
Mg1 Mg 0.0000 0.0000 0.0000 1
Mg2 Mg 0.0000 0.5028 0.9890 1
Mg3 Mg 0.0000 0.9890 0.5028 1
Mg4 Mg 0.5000 0.1664 0.1664 1
Mg5 Mg 0.5000 0.1676 0.6647 1
Mg6 Mg 0.5000 0.6647 0.1676 1
Mn1 Mn 0.5000 0.6666 0.6666 1
Cd1 Cd 0.0000 0.5040 0.5040 1
```

Most intense lines, 5° ≤ 2θ ≤ 70°, sorted by position:
| d (Å) | 2θ (°) | intensity |
| --- | --- | --- |
| 5.385 | 16.5 | 50.8 |
| 3.667 | 24.3 | 30.8 |
| 2.693 | 33.3 | 26.1 |
| 2.642 | 33.9 | 18.1 |
| 2.503 | 35.9 | 25.9 |
| 2.372 | 37.9 | 100.0 |
| 2.270 | 39.7 | 11.1 |
| 1.833 | 49.7 | 16.1 |
| 1.555 | 59.4 | 16.5 |
| 1.419 | 65.8 | 18.1 |


Starting from a GGA-PBE-relaxed structure, the powder diffraction line list of TcPt2Rh5 was computed for Cu Kα (weighted mean of Kα1 and Kα2).
No peak broadening, texture or thermal motion is included.

Cell and atoms:
```
data_TcPt2Rh5
_chemical_formula_sum 'Tc1 Pt2 Rh5'
_cell_length_a 8.2556
_cell_length_b 8.2556
_cell_length_c 8.2556
_cell_angle_alpha 152.93
_cell_angle_beta 152.93
_cell_angle_gamma 38.66
_symmetry_space_group_name_H-M 'P 1'
_symmetry_Int_Tables_number 1
_symmetry_space_group_name_Hall 'P 1'
loop_
_atom_site_label
_atom_site_type_symbol
_atom_site_fract_x
_atom_site_fract_y
_atom_site_fract_z
_atom_site_occupancy
Tc1 Tc 0.0000 0.0000 0.0000 1
Pt1 Pt 0.2527 0.2527 0.0000 1
Pt2 Pt 0.7473 0.7473 0.0000 1
Rh1 Rh 0.1191 0.6191 0.5000 1
Rh2 Rh 0.3809 0.8809 0.5000 1
Rh3 Rh 0.5000 0.5000 0.0000 1
Rh4 Rh 0.6191 0.1191 0.5000 1
Rh5 Rh 0.8809 0.3809 0.5000 1
```

Most intense lines, 5° ≤ 2θ ≤ 70°, sorted by position:
| d (Å) | 2θ (°) | intensity |
| --- | --- | --- |
| 7.790 | 11.4 | 9.4 |
| 3.895 | 22.8 | 2.9 |
| 2.733 | 32.8 | 2.4 |
| 2.597 | 34.5 | 2.7 |
| 2.579 | 34.8 | 6.4 |
| 2.237 | 40.3 | 100.0 |
| 1.948 | 46.6 | 15.9 |
| 1.932 | 47.0 | 32.6 |
| 1.372 | 68.4 | 20.1 |
| 1.366 | 68.7 | 10.4 |


Starting from a GGA-PBE-relaxed structure, the powder diffraction line list of Ce2Mg2NiGe4 was computed for Cu Kα (weighted mean of Kα1 and Kα2).
No peak broadening, texture or thermal motion is included.

Cell and atoms:
```
data_Ce2Mg2NiGe4
_chemical_formula_sum 'Ce2 Mg2 Ni1 Ge4'
_cell_length_a 6.2761
_cell_length_b 6.2761
_cell_length_c 6.2761
_cell_angle_alpha 117.61
_cell_angle_beta 117.61
_cell_angle_gamma 94.18
_symmetry_space_group_name_H-M 'P 1'
_symmetry_Int_Tables_number 1
_symmetry_space_group_name_Hall 'P 1'
loop_
_atom_site_label
_atom_site_type_symbol
_atom_site_fract_x
_atom_site_fract_y
_atom_site_fract_z
_atom_site_occupancy
Ce1 Ce 0.2500 0.7500 0.5000 1
Ce2 Ce 0.7500 0.2500 0.5000 1
Mg1 Mg 0.2056 0.2056 0.0000 1
Mg2 Mg 0.7944 0.7944 0.0000 1
Ni1 Ni 0.5000 0.5000 0.0000 1
Ge1 Ge 0.2410 0.2410 0.4820 1
Ge2 Ge 0.2410 0.7590 0.0000 1
Ge3 Ge 0.7590 0.2410 0.0000 1
Ge4 Ge 0.7590 0.7590 0.5180 1
```

Most intense lines, 5° ≤ 2θ ≤ 70°, sorted by position:
| d (Å) | 2θ (°) | intensity |
| --- | --- | --- |
| 4.597 | 19.3 | 17.5 |
| 3.130 | 28.5 | 49.0 |
| 2.587 | 34.7 | 100.0 |
| 2.298 | 39.2 | 55.2 |
| 2.136 | 42.3 | 20.6 |
| 1.853 | 49.2 | 21.1 |
| 1.625 | 56.6 | 18.3 |
| 1.565 | 59.0 | 29.9 |
| 1.376 | 68.1 | 26.8 |
| 1.360 | 69.0 | 5.2 |